Structure and theoretical powder XRD pattern of CdBiC2 (a cell relaxed with GGA-PBE; Cu Kα, 1.54184 Å).
No peak broadening, texture or thermal motion is included.

The 10 most intense peaks (10° ≤ 2θ ≤ 80°), by angle:
- hkl 1 0 1, 2θ = 18.66°, I 11
- hkl 1 1 2, 2θ = 29.20°, I 100
- hkl 2 0 0, 2θ = 33.51°, I 30
- hkl 0 0 4, 2θ = 34.50°, I 14
- hkl 2 2 0, 2θ = 48.11°, I 14
- hkl 2 0 4, 2θ = 48.86°, I 27
- hkl 3 1 2, 2θ = 57.28°, I 30
- hkl 1 1 6, 2θ = 58.59°, I 14
- hkl 2 2 4, 2θ = 60.54°, I 12
- hkl 3 1 6, 2θ = 79.12°, I 12

Crystal structure
```
CdBiC2
1.0
5.3489 0.0000 0.0000
0.0000 5.3489 0.0000
0.0000 0.0000 10.3982
Cd Bi C
4 4 8
Direct
0.0000 0.0000 0.0000
0.0000 0.5000 0.2500
0.5000 0.0000 0.7500
0.5000 0.5000 0.5000
0.0000 0.0000 0.5000
0.0000 0.5000 0.7500
0.5000 0.0000 0.2500
0.5000 0.5000 0.0000
0.2500 0.2500 0.1250
0.2500 0.2500 0.6250
0.2500 0.7500 0.3750
0.2500 0.7500 0.8750
0.7500 0.2500 0.3750
0.7500 0.2500 0.8750
0.7500 0.7500 0.1250
0.7500 0.7500 0.6250
```